The following is a theoretical powder diffraction line list of Gd3Tl2Pb5. It was derived from a GGA-PBE-relaxed structure, using Cu Kα (weighted mean of Kα1 and Kα2).
No peak broadening, texture or thermal motion is included.

Peak list (8 most intense, 10 to 80 degrees two-theta, most intense first)
| Position (°2θ) | I (rel.) |
| --- | --- |
| 32.11 | 1000 |
| 34.72 | 185 |
| 38.39 | 161 |
| 38.53 | 159 |
| 60.61 | 134 |
| 65.51 | 133 |
| 65.69 | 132 |
| 52.72 | 115 |

Structural model:
Cell: 13.1287 13.1287 4.6736 Å, 90.00 90.00 159.42°
Atoms (fractional coordinates):
Gd: 0.0000 0.0000 0.0000
Gd: 0.1888 0.8112 0.0000
Gd: 0.8112 0.1888 0.0000
Tl: 0.4028 0.5972 0.0000
Tl: 0.5972 0.4028 0.0000
Pb: 0.0974 0.9026 0.5000
Pb: 0.2939 0.7061 0.5000
Pb: 0.5000 0.5000 0.5000
Pb: 0.7061 0.2939 0.5000
Pb: 0.9026 0.0974 0.5000